Starting from the GGA-PBE geometry in Alexandria, the powder diffraction line list of Pm2Pu3Si3 was calculated for Cu Kα.

Largest 10 diffraction maxima, low angle first, 2θ from 15° to 90°:
2θ = 19.62°, I = 46.8
2θ = 26.78°, I = 47.0
2θ = 28.43°, I = 20.4
2θ = 35.01°, I = 100.0
2θ = 35.22°, I = 23.8
2θ = 38.91°, I = 26.2
2θ = 39.92°, I = 20.7
2θ = 47.87°, I = 20.1
2θ = 67.96°, I = 15.0
2θ = 69.50°, I = 16.4

Atomic structure:
```
Pm2Pu3Si3
1.0
-1.883 2.314 10.682
1.883 -2.314 10.682
1.883 2.314 -10.682
Pm Pu Si
2 3 3
Cartesian
0.000 0.000 4.532 Pm
0.000 0.000 16.831 Pm
1.883 0.000 8.286 Pu
0.000 0.000 10.682 Pu
0.000 2.314 2.396 Pu
0.000 0.000 0.000 Si
1.883 0.000 1.958 Si
0.000 2.314 8.724 Si
```